Structure and simulated powder diffractogram of Ac3HgAu4 (DFT lattice parameters and positions (PBE); Cu Kα, 1.54184 Å).

Crystal structure
```
data_Ac3HgAu4
_symmetry_space_group_name_H-M 'I m m m'
_symmetry_Int_Tables_number 71
_symmetry_space_group_name_Hall '-I 2 2'
_cell_length_a 4.298
_cell_length_b 7.387
_cell_length_c 15.465
_cell_angle_alpha 90.00
_cell_angle_beta 90.00
_cell_angle_gamma 90.00
loop_
_atom_site_label
_atom_site_type_symbol
_atom_site_fract_x
_atom_site_fract_y
_atom_site_fract_z
Ac1 Ac 0.000 0.000 0.000
Ac2 Ac 0.000 0.500 0.188
Hg1 Hg 0.000 0.000 0.500
Au1 Au 0.000 0.301 0.371
```

Principal peaks in the range 5° ≤ 2θ ≤ 70°, sorted by position:
h k l	two_theta	d [Å]	I/Imax
1 1 2	26.62	3.349	100.0
1 2 1	32.48	2.756	42.2
1 1 4	33.45	2.679	44.7
0 2 4	33.56	2.671	55.7
1 0 5	35.77	2.510	35.4
1 2 3	36.51	2.461	59.9
0 3 3	40.60	2.222	25.4
2 0 0	42.04	2.149	37.2
2 2 4	54.83	1.674	29.4
1 3 8	65.07	1.433	34.5

***

Structure and simulated powder diffractogram of Ti4Nb4Al (DFT lattice parameters and positions (PBE); Cu Kα, 1.54184 Å).

Crystal structure
```
data_Ti4Nb4Al
_symmetry_space_group_name_H-M 'F m m m'
_symmetry_Int_Tables_number 69
_symmetry_space_group_name_Hall '-F 2 2'
_cell_length_a 4.482
_cell_length_b 9.953
_cell_length_c 14.095
_cell_angle_alpha 90.00
_cell_angle_beta 90.00
_cell_angle_gamma 90.00
loop_
_atom_site_label
_atom_site_type_symbol
_atom_site_fract_x
_atom_site_fract_y
_atom_site_fract_z
Ti1 Ti 0.000 0.000 0.172
Ti2 Ti 0.000 0.163 0.000
Nb1 Nb 0.000 0.171 0.337
Al1 Al 0.000 0.000 0.500
```

Principal peaks in the range 5° ≤ 2θ ≤ 70°, sorted by position:
h k l	two_theta	d [Å]	I/Imax
0 0 2	12.56	7.047	12.3
0 2 0	17.82	4.977	8.5
1 1 3	28.96	3.084	7.6
0 0 6	38.32	2.349	25.8
1 3 3	38.83	2.319	100.0
2 0 0	40.24	2.241	22.7
0 6 0	55.39	1.659	8.4
2 0 6	56.77	1.622	15.5
0 6 6	69.34	1.355	9.1
1 3 9	69.62	1.350	16.5